Record 1
Starting from a GGA-PBE-relaxed structure, the X-ray powder pattern of KTbNiS4 was calculated for Cu Kα (weighted mean of Kα1 and Kα2).

Crystal structure
```
KTbNiS4
1.0
6.5977 0.0000 0.0000
0.0000 5.6086 0.0000
-2.5887 0.0000 8.5854
K Tb Ni S
2 2 2 8
direct
0.2412 0.0000 0.4484
0.7588 0.5000 0.5516
0.2411 0.9953 0.9440
0.7589 0.4953 0.0560
0.2758 0.4993 0.1824
0.7242 0.9993 0.8176
0.0690 0.5002 0.3307
0.1063 0.4957 0.9355
0.4789 0.2686 0.7850
0.4834 0.7233 0.7861
0.5166 0.2233 0.2139
0.5211 0.7686 0.2150
0.8937 0.9957 0.0645
0.9310 0.0002 0.6693
```

Most intense lines, 2θ from 10° to 90°, in order of rising 2θ:
2θ 10.30, I = 100; 2θ 18.90, I = 22; 2θ 21.18, I = 13; 2θ 26.72, I = 18; 2θ 28.29, I = 22; 2θ 29.89, I = 19; 2θ 31.91, I = 19; 2θ 32.58, I = 26; 2θ 33.99, I = 19; 2θ 43.14, I = 20

=====

Record 2
Starting from a GGA-PBE-relaxed structure, the X-ray powder pattern of Dy3I2O was calculated for Cu Kα (weighted mean of Kα1 and Kα2).

Crystal structure
```
Dy3I2O
1.0
3.5031 0.0000 0.0000
0.0000 3.5031 0.0000
0.0000 0.0000 12.6825
Dy I O
3 2 1
direct
0.0000 0.0000 0.0000
0.0000 0.5000 0.5974
0.5000 0.0000 0.4026
0.0000 0.5000 0.2317
0.5000 0.0000 0.7683
0.5000 0.5000 0.0000
```

Most intense lines, 2θ from 10° to 90°, in order of rising 2θ:
2θ 29.12, I = 66; 2θ 33.21, I = 100; 2θ 35.39, I = 27; 2θ 36.27, I = 19; 2θ 36.98, I = 40; 2θ 39.04, I = 20; 2θ 52.23, I = 24; 2θ 57.30, I = 30; 2θ 63.31, I = 31; 2θ 64.67, I = 18

=====

Record 3
Starting from a GGA-PBE-relaxed structure, the X-ray powder pattern of KRe2Br6O2 was calculated for Cu Kα (weighted mean of Kα1 and Kα2).

Crystal structure
```
KRe2Br6O2
1.0
-1.8947 5.3789 6.7241
1.8947 -5.3789 6.7241
1.8947 5.3789 -6.7241
K Re Br O
1 2 6 2
direct
0.0000 0.0000 0.0000
0.3648 0.5000 0.8648
0.6352 0.5000 0.1352
0.0599 0.3706 0.6893
0.3188 0.6294 0.6893
0.3460 0.3460 0.0000
0.6540 0.6540 0.0000
0.6812 0.3706 0.3107
0.9401 0.6294 0.3107
0.3649 0.0000 0.3649
0.6351 0.0000 0.6351
```

Most intense lines, 2θ from 10° to 90°, in order of rising 2θ:
2θ 10.53, I = 95; 2θ 13.17, I = 75; 2θ 24.40, I = 100; 2θ 24.91, I = 23; 2θ 31.96, I = 79; 2θ 41.99, I = 18; 2θ 43.98, I = 48; 2θ 46.07, I = 28; 2θ 48.03, I = 22; 2θ 58.85, I = 26

=====

Record 4
Starting from a GGA-PBE-relaxed structure, the X-ray powder pattern of Dy2In8Ni was calculated for Cu Kα (weighted mean of Kα1 and Kα2).

Crystal structure
```
Dy2In8Ni
1.0
4.6343 0.0000 0.0000
0.0000 4.6343 0.0000
0.0000 0.0000 12.1031
Dy In Ni
2 8 1
direct
0.0000 0.0000 0.1900
0.0000 0.0000 0.8100
0.0000 0.5000 0.0000
0.0000 0.5000 0.3781
0.0000 0.5000 0.6219
0.5000 0.0000 0.0000
0.5000 0.0000 0.3781
0.5000 0.0000 0.6219
0.5000 0.5000 0.1911
0.5000 0.5000 0.8089
0.0000 0.0000 0.5000
```

Most intense lines, 2θ from 10° to 90°, in order of rising 2θ:
2θ 31.04, I = 40; 2θ 35.29, I = 100; 2θ 37.14, I = 20; 2θ 38.87, I = 54; 2θ 54.85, I = 25; 2θ 56.14, I = 18; 2θ 65.54, I = 9; 2θ 68.07, I = 28; 2θ 68.29, I = 16; 2θ 69.24, I = 12

=====

Record 5
Starting from a GGA-PBE-relaxed structure, the X-ray powder pattern of TbNdNi8B2 was calculated for Cu Kα (weighted mean of Kα1 and Kα2).

Crystal structure
```
TbNdNi8B2
1.0
5.0283 0.0000 0.0000
-2.5141 4.3546 0.0000
0.0000 0.0000 6.9979
Tb Nd Ni B
1 1 8 2
direct
0.0000 0.0000 0.0000
0.0000 0.0000 0.5000
0.0000 0.5000 0.2052
0.0000 0.5000 0.7948
0.3333 0.6667 0.5000
0.5000 0.0000 0.2052
0.5000 0.0000 0.7948
0.5000 0.5000 0.2052
0.5000 0.5000 0.7948
0.6667 0.3333 0.5000
0.3333 0.6667 0.0000
0.6667 0.3333 0.0000
```

Most intense lines, 2θ from 10° to 90°, in order of rising 2θ:
2θ 32.84, I = 86; 2θ 35.71, I = 30; 2θ 38.60, I = 12; 2θ 41.47, I = 75; 2θ 44.37, I = 100; 2θ 62.35, I = 27; 2θ 64.94, I = 16; 2θ 68.84, I = 14; 2θ 70.20, I = 24; 2θ 75.65, I = 21

=====

Record 6
Starting from a GGA-PBE-relaxed structure, the X-ray powder pattern of Sc4In3Hg2 was calculated for Cu Kα (weighted mean of Kα1 and Kα2).

Crystal structure
```
Sc4In3Hg2
1.0
8.2633 0.0000 0.0000
-4.1317 7.1562 0.0000
0.0000 0.0000 3.3694
Sc In Hg
4 3 2
direct
0.0000 0.0000 0.0000
0.3782 0.3436 0.0000
0.6564 0.0346 0.0000
0.9654 0.6218 0.0000
0.0314 0.3222 0.5000
0.2908 0.9686 0.5000
0.6778 0.7092 0.5000
0.3333 0.6667 0.0000
0.6667 0.3333 0.5000
```

Most intense lines, 2θ from 10° to 90°, in order of rising 2θ:
2θ 12.37, I = 33; 2θ 21.51, I = 43; 2θ 29.30, I = 49; 2θ 33.12, I = 21; 2θ 34.34, I = 64; 2θ 36.63, I = 67; 2θ 37.71, I = 100; 2θ 42.88, I = 54; 2θ 62.98, I = 35; 2θ 68.13, I = 46

=====

Record 7
Starting from a GGA-PBE-relaxed structure, the X-ray powder pattern of Ba3Ta5O15 was calculated for Cu Kα (weighted mean of Kα1 and Kα2).

Crystal structure
```
Ba3Ta5O15
1.0
12.6415 0.0000 0.0000
0.0000 12.6415 0.0000
0.0000 0.0000 3.9882
Ba Ta O
6 10 30
direct
0.0000 0.0000 0.0000
0.1687 0.3313 0.0000
0.3313 0.8313 0.0000
0.5000 0.5000 0.0000
0.6687 0.1687 0.0000
0.8313 0.6687 0.0000
0.0000 0.5000 0.5000
0.0772 0.7872 0.5000
0.2128 0.0772 0.5000
0.2872 0.5772 0.5000
0.4228 0.2872 0.5000
0.5000 0.0000 0.5000
0.5772 0.7128 0.5000
0.7128 0.4228 0.5000
0.7872 0.9228 0.5000
0.9228 0.2128 0.5000
0.0000 0.5000 0.0000
0.0071 0.3434 0.5000
0.0677 0.1405 0.5000
0.0786 0.7911 0.0000
0.1405 0.9323 0.5000
0.1566 0.4929 0.5000
0.2089 0.0786 0.0000
0.2202 0.7202 0.5000
0.2798 0.2202 0.5000
0.2911 0.5786 0.0000
0.3434 0.9929 0.5000
0.3595 0.4323 0.5000
0.4214 0.2911 0.0000
0.4323 0.6405 0.5000
0.4929 0.8434 0.5000
0.5000 0.0000 0.0000
0.5071 0.1566 0.5000
0.5677 0.3595 0.5000
0.5786 0.7089 0.0000
0.6405 0.5677 0.5000
0.6566 0.0071 0.5000
0.7089 0.4214 0.0000
0.7202 0.7798 0.5000
0.7798 0.2798 0.5000
0.7911 0.9214 0.0000
0.8434 0.5071 0.5000
0.8595 0.0677 0.5000
0.9214 0.2089 0.0000
0.9323 0.8595 0.5000
0.9929 0.6566 0.5000
```

Most intense lines, 2θ from 10° to 90°, in order of rising 2θ:
2θ 22.28, I = 25; 2θ 25.40, I = 28; 2θ 27.37, I = 43; 2θ 29.13, I = 50; 2θ 30.02, I = 22; 2θ 31.68, I = 100; 2θ 34.05, I = 20; 2θ 45.49, I = 20; 2θ 51.10, I = 26; 2θ 56.43, I = 37

=====

Record 8
Starting from a GGA-PBE-relaxed structure, the X-ray powder pattern of KTh6F25 was calculated for Cu Kα (weighted mean of Kα1 and Kα2).

Crystal structure
```
KTh6F25
1.0
4.0790 2.3550 8.3108
-4.0790 2.3550 8.3108
0.0000 -4.7100 8.3108
K Th F
1 6 25
direct
0.0000 0.0000 0.0000
0.0898 0.5920 0.5920
0.4080 0.4080 0.9102
0.4080 0.9102 0.4080
0.5920 0.0898 0.5920
0.5920 0.5920 0.0898
0.9102 0.4080 0.4080
0.0000 0.5000 0.5000
0.1265 0.1265 0.5606
0.1265 0.5606 0.1265
0.1693 0.5000 0.8307
0.1693 0.8307 0.5000
0.2094 0.2094 0.2094
0.2479 0.2479 0.6942
0.2479 0.6942 0.2479
0.3058 0.7521 0.7521
0.4394 0.8735 0.8735
0.4510 0.4510 0.4510
0.5000 0.0000 0.5000
0.5000 0.1693 0.8307
0.5000 0.5000 0.0000
0.5000 0.8307 0.1693
0.5490 0.5490 0.5490
0.5606 0.1265 0.1265
0.6942 0.2479 0.2479
0.7521 0.3058 0.7521
0.7521 0.7521 0.3058
0.7906 0.7906 0.7906
0.8307 0.1693 0.5000
0.8307 0.5000 0.1693
0.8735 0.4394 0.8735
0.8735 0.8735 0.4394
```

Most intense lines, 2θ from 10° to 90°, in order of rising 2θ:
2θ 13.02, I = 53; 2θ 21.38, I = 65; 2θ 21.80, I = 56; 2θ 25.47, I = 100; 2θ 26.22, I = 25; 2θ 29.06, I = 33; 2θ 31.02, I = 62; 2θ 44.44, I = 84; 2θ 47.67, I = 36; 2θ 49.80, I = 53

=====

Record 9
Starting from a GGA-PBE-relaxed structure, the X-ray powder pattern of Li2NbMo was calculated for Cu Kα (weighted mean of Kα1 and Kα2).

Crystal structure
```
Li2NbMo
1.0
0.0000 3.1411 3.1411
3.1411 0.0000 3.1411
3.1411 3.1411 0.0000
Li Nb Mo
2 1 1
direct
0.0000 0.0000 0.0000
0.2500 0.2500 0.2500
0.5000 0.5000 0.5000
0.7500 0.7500 0.7500
```

Most intense lines, 2θ from 10° to 90°, in order of rising 2θ:
2θ 24.54, I = 100; 2θ 40.62, I = 95; 2θ 48.03, I = 47; 2θ 58.79, I = 16; 2θ 64.67, I = 19; 2θ 73.91, I = 31; 2θ 79.23, I = 14; 2θ 87.92, I = 10

=====

Record 10
Starting from a GGA-PBE-relaxed structure, the X-ray powder pattern of Sc2TlCd3Ag2 was calculated for Cu Kα (weighted mean of Kα1 and Kα2).

Crystal structure
```
Sc2TlCd3Ag2
1.0
4.9063 0.0000 0.0000
0.0000 4.9063 0.0000
0.0000 0.0000 6.8683
Sc Tl Cd Ag
2 1 3 2
direct
0.0000 0.5000 0.2486
0.5000 0.0000 0.7514
0.5000 0.5000 0.5000
0.0000 0.0000 0.0000
0.0000 0.5000 0.7616
0.5000 0.0000 0.2384
0.0000 0.0000 0.5000
0.5000 0.5000 0.0000
```

Most intense lines, 2θ from 10° to 90°, in order of rising 2θ:
2θ 22.27, I = 13; 2θ 25.68, I = 8; 2θ 36.63, I = 51; 2θ 36.83, I = 100; 2θ 52.77, I = 17; 2θ 53.36, I = 8; 2θ 66.08, I = 34; 2θ 66.46, I = 16; 2θ 78.36, I = 10; 2θ 89.29, I = 8

=====

Record 11
Starting from a GGA-PBE-relaxed structure, the X-ray powder pattern of SmGdErTmIn2 was calculated for Cu Kα (weighted mean of Kα1 and Kα2).

Crystal structure
```
SmGdErTmIn2
1.0
5.3854 0.0000 0.0000
-2.6927 4.6639 0.0000
0.0000 0.0000 6.7439
Sm Gd Er Tm In
1 1 1 1 2
direct
0.0000 0.0000 0.0000
0.6667 0.3333 0.2591
0.6667 0.3333 0.7464
0.3333 0.6667 0.5055
0.0000 0.0000 0.5037
0.3333 0.6667 0.0011
```

Most intense lines, 2θ from 10° to 90°, in order of rising 2θ:
2θ 32.77, I = 97; 2θ 33.27, I = 100; 2θ 47.40, I = 35; 2θ 54.42, I = 8; 2θ 59.14, I = 36; 2θ 59.46, I = 19; 2θ 65.30, I = 28; 2θ 69.86, I = 12; 2θ 79.34, I = 15; 2θ 84.83, I = 14

=====

Record 12
Starting from a GGA-PBE-relaxed structure, the X-ray powder pattern of YCoGeOs was calculated for Cu Kα (weighted mean of Kα1 and Kα2).

Crystal structure
```
YCoGeOs
1.0
0.0000 3.1781 3.1781
3.1781 0.0000 3.1781
3.1781 3.1781 0.0000
Y Co Ge Os
1 1 1 1
direct
0.0000 0.0000 0.0000
0.7500 0.7500 0.7500
0.5000 0.5000 0.5000
0.2500 0.2500 0.2500
```

Most intense lines, 2θ from 10° to 90°, in order of rising 2θ:
2θ 24.25, I = 22; 2θ 28.08, I = 5; 2θ 40.13, I = 100; 2θ 47.44, I = 12; 2θ 58.04, I = 17; 2θ 63.83, I = 5; 2θ 65.70, I = 2; 2θ 72.91, I = 33; 2θ 78.13, I = 4; 2θ 86.65, I = 11